Record 1
# Cd3In2Hg4
Calculated XRD peak list, Cu Ka. Input: a DFT-relaxed cell (GGA-PBE, Alexandria).
Intensities are scaled so that the largest is 100.

Main lines, in order of falling intensity (5° ≤ 2θ ≤ 70°):
32.4 deg, rel. 100; 39.9 deg, rel. 56; 31.8 deg, rel. 52; 37.3 deg, rel. 34; 37.7 deg, rel. 32; 51.5 deg, rel. 27; 59.7 deg, rel. 16; 64.4 deg, rel. 14

Crystal structure
```
data_Cd3In2Hg4
_cell_length_a 6.261
_cell_length_b 3.374
_cell_length_c 21.485
_cell_angle_alpha 90.00
_cell_angle_beta 92.81
_cell_angle_gamma 90.00
_space_group_name_H-M_alt 'C 1 2/m 1'
_space_group_IT_number 12
loop_
_space_group_symop_operation_xyz
'x,y,z'
'-x,-y,-z'
'-x,y,-z'
'x,-y,z'
'x+1/2,y+1/2,z'
'-x+1/2,-y+1/2,-z'
'-x+1/2,y+1/2,-z'
'x+1/2,-y+1/2,z'
loop_
_atom_site_label
_atom_site_fract_x
_atom_site_fract_y
_atom_site_fract_z
Cd1 0.000 0.000 0.000
Cd2 0.171 0.500 0.554
In1 0.166 0.500 0.224
Hg1 0.006 0.000 0.662
Hg2 0.160 0.500 0.891
```


Record 2
# Cd3In4Hg5
Calculated XRD peak list, Cu Ka. Input: a DFT-relaxed cell (GGA-PBE, Alexandria).
Intensities are scaled so that the largest is 100.

Main lines, in order of falling intensity (5° ≤ 2θ ≤ 70°):
29.6 deg, rel. 100; 32.1 deg, rel. 80; 32.3 deg, rel. 78; 32.5 deg, rel. 78; 44.2 deg, rel. 66; 44.5 deg, rel. 65; 44.4 deg, rel. 65; 66.1 deg, rel. 19

Crystal structure
```
data_Cd3In4Hg5
_cell_length_a 12.730
_cell_length_b 6.033
_cell_length_c 9.601
_cell_angle_alpha 90.00
_cell_angle_beta 119.45
_cell_angle_gamma 90.00
_space_group_name_H-M_alt 'C 1 2/m 1'
_space_group_IT_number 12
loop_
_space_group_symop_operation_xyz
'x,y,z'
'-x,-y,-z'
'-x,y,-z'
'x,-y,z'
'x+1/2,y+1/2,z'
'-x+1/2,-y+1/2,-z'
'-x+1/2,y+1/2,-z'
'x+1/2,-y+1/2,z'
loop_
_atom_site_label
_atom_site_fract_x
_atom_site_fract_y
_atom_site_fract_z
Cd1 0.000 0.000 0.000
Cd2 0.000 0.000 0.329
In1 0.247 0.500 0.009
In2 0.249 0.500 0.668
Hg1 0.000 0.500 0.000
Hg2 0.004 0.500 0.334
Hg3 0.238 0.000 0.653
```


Record 3
# Cd5In5Hg6
Calculated XRD peak list, Cu Ka. Input: a DFT-relaxed cell (GGA-PBE, Alexandria).
Intensities are scaled so that the largest is 100.

Main lines, in order of falling intensity (5° ≤ 2θ ≤ 70°):
34.4 deg, rel. 100; 36.1 deg, rel. 50; 30.9 deg, rel. 25; 55.7 deg, rel. 25; 29.6 deg, rel. 23; 35.1 deg, rel. 23; 68.7 deg, rel. 23; 45.2 deg, rel. 23

Crystal structure
```
data_Cd5In5Hg6
_cell_length_a 6.029
_cell_length_b 15.311
_cell_length_c 8.858
_cell_angle_alpha 90.00
_cell_angle_beta 90.00
_cell_angle_gamma 90.00
_space_group_name_H-M_alt 'A m m 2'
_space_group_IT_number 38
loop_
_space_group_symop_operation_xyz
'x,y,z'
'-x,-y,z'
'-x,y,z'
'x,-y,z'
'x,y+1/2,z+1/2'
'-x,-y+1/2,z+1/2'
'-x,y+1/2,z+1/2'
'x,-y+1/2,z+1/2'
loop_
_atom_site_label
_atom_site_fract_x
_atom_site_fract_y
_atom_site_fract_z
Cd1 0.000 0.000 0.000
Cd2 0.250 0.169 0.297
In1 0.000 0.113 0.670
In2 0.500 0.000 0.571
In3 0.500 0.111 0.911
Hg1 0.000 0.000 0.372
Hg2 0.000 0.197 0.995
Hg3 0.500 0.000 0.205
Hg4 0.500 0.204 0.593
```